# 1
Structure and simulated X-ray diffraction stick pattern of BiPd (the PBE geometry in the Materials Project; Cu Kα, 1.54184 Å).
Intensities are scaled so that the largest is 100.

```
data_BiPd
_chemical_formula_sum 'Bi2 Pd2'
_symmetry_space_group_name_H-M 'P 63/m m c'
_symmetry_Int_Tables_number 194
_symmetry_space_group_name_Hall '-P 6c 2c'
_cell_length_a 4.3066
_cell_length_b 4.3066
_cell_length_c 5.7955
_cell_angle_alpha 90.00
_cell_angle_beta 90.00
_cell_angle_gamma 120.00
loop_
_atom_site_label
_atom_site_type_symbol
_atom_site_fract_x
_atom_site_fract_y
_atom_site_fract_z
Bi1 Bi 0.3333 0.6667 0.2500
Pd1 Pd 0.0000 0.0000 0.0000
```

Principal peaks in the range 2θ = 15–90°, low angle first:
hkl, Position (°2θ), I (rel.)
1 0 1, 28.46, 100
1 0 2, 39.38, 60
1 1 0, 41.96, 56
2 0 1, 51.48, 20
1 0 3, 53.41, 18
2 0 2, 58.89, 18
2 1 1, 68.50, 18
2 1 2, 74.91, 18
1 1 4, 79.78, 18
2 1 3, 85.22, 10



# 2
Structure and simulated X-ray diffraction stick pattern of BiPd (the PBE geometry in the Materials Project; Cu Kα, 1.54184 Å).
Intensities are scaled so that the largest is 100.

```
data_BiPd
_chemical_formula_sum 'Bi8 Pd8'
_symmetry_space_group_name_H-M 'P 1 21 1'
_symmetry_Int_Tables_number 4
_symmetry_space_group_name_Hall 'P 2yb'
_cell_length_a 5.734
_cell_length_b 10.852
_cell_length_c 5.750
_cell_angle_alpha 90.00
_cell_angle_beta 101.10
_cell_angle_gamma 90.00
loop_
_atom_site_label
_atom_site_type_symbol
_atom_site_fract_x
_atom_site_fract_y
_atom_site_fract_z
Bi1 Bi 0.113 0.000 0.151
Bi2 Bi 0.117 0.222 0.656
Bi3 Bi 0.351 0.718 0.895
Bi4 Bi 0.359 0.505 0.397
Pd1 Pd 0.157 0.948 0.668
Pd2 Pd 0.170 0.272 0.176
Pd3 Pd 0.402 0.779 0.409
Pd4 Pd 0.406 0.443 0.912
```

Principal peaks in the range 2θ = 15–90°, low angle first:
hkl, Position (°2θ), I (rel.)
1 2 -1, 25.95, 21
2 1 0, 32.84, 100
0 4 0, 33.02, 36
1 3 1, 34.93, 33
1 4 -1, 38.92, 22
2 3 0, 40.59, 48
2 0 -2, 40.70, 28
2 4 -2, 53.37, 16
3 3 -1, 54.78, 15
1 7 1, 65.41, 14



# 3
Structure and simulated X-ray diffraction stick pattern of Bi2Pd5 (the PBE geometry in the Materials Project; Cu Kα, 1.54184 Å).
Intensities are scaled so that the largest is 100.

```
data_Bi2Pd5
_chemical_formula_sum 'Bi8 Pd20'
_symmetry_space_group_name_H-M 'C 1 2/m 1'
_symmetry_Int_Tables_number 12
_symmetry_space_group_name_Hall '-C 2y'
_cell_length_a 14.406
_cell_length_b 5.914
_cell_length_c 6.878
_cell_angle_alpha 90.00
_cell_angle_beta 117.13
_cell_angle_gamma 90.00
loop_
_atom_site_label
_atom_site_type_symbol
_atom_site_fract_x
_atom_site_fract_y
_atom_site_fract_z
Bi1 Bi 0.099 0.000 0.406
Bi2 Bi 0.131 0.500 0.857
Pd1 Pd 0.000 0.249 0.000
Pd2 Pd 0.095 0.500 0.412
Pd3 Pd 0.133 0.000 0.861
Pd4 Pd 0.226 0.252 0.266
```

Principal peaks in the range 2θ = 15–90°, low angle first:
hkl, Position (°2θ), I (rel.)
2 2 -1, 33.79, 24
6 0 -1, 37.74, 32
2 0 2, 37.91, 56
6 0 -2, 38.87, 16
2 2 -2, 40.20, 100
4 2 0, 41.55, 68
8 2 -3, 63.43, 25
0 2 4, 69.12, 15
10 2 -1, 75.69, 22
2 4 2, 75.81, 15